No. 1
Starting from DFT lattice parameters and positions (PBE), the XRD peak list of Dy3Tm5Pb2 was simulated for λ = 1.5418 Å (Cu Kα).
Peak positions follow from Bragg's law for the DFT cell and can differ from measured ones.

```
data_Dy3Tm5Pb2
_cell_length_a 12.6436
_cell_length_b 15.7104
_cell_length_c 6.3000
_cell_angle_alpha 90.00
_cell_angle_beta 90.00
_cell_angle_gamma 90.00
_space_group_name_H-M_alt 'I b a m'
_space_group_IT_number 72
_space_group_name_Hall '-I 2 2c'
loop_
_atom_site_label
_atom_site_type_symbol
_atom_site_fract_x
_atom_site_fract_y
_atom_site_fract_z
Dy1 Dy 0.0000 0.0000 0.2500
Dy2 Dy 0.1193 0.2162 0.0000
Tm1 Tm 0.0000 0.5000 0.2500
Tm2 Tm 0.1043 0.3365 0.5000
Tm3 Tm 0.2481 0.5000 0.2500
Pb1 Pb 0.1439 0.1493 0.5000
```

Top 10 peaks for 2θ from 5° to 70°, sorted by position:
| Position (°2θ) | I (rel.) | hkl |
| --- | --- | --- |
| 20.69 | 14 | 2 1 1 |
| 26.24 | 16 | 2 3 1 |
| 30.53 | 100 | 0 2 2 |
| 34.26 | 25 | 0 6 0 |
| 34.92 | 34 | 2 5 1 |
| 36.53 | 38 | 0 4 2 |
| 40.43 | 43 | 4 0 2 |
| 54.00 | 20 | 4 6 2 |
| 54.53 | 10 | 2 5 3 |
| 67.50 | 10 | 4 2 4 |

=====

No. 2
Starting from DFT lattice parameters and positions (PBE), the XRD peak list of DyTm5Pb5 was simulated for λ = 1.5418 Å (Cu Kα).
Peak positions follow from Bragg's law for the DFT cell and can differ from measured ones.

```
data_DyTm5Pb5
_cell_length_a 15.5714
_cell_length_b 6.2148
_cell_length_c 7.3049
_cell_angle_alpha 90.00
_cell_angle_beta 103.02
_cell_angle_gamma 90.00
_space_group_name_H-M_alt 'C 1 2/m 1'
_space_group_IT_number 12
loop_
_space_group_symop_operation_xyz
'x,y,z'
'-x,-y,-z'
'-x,y,-z'
'x,-y,z'
'x+1/2,y+1/2,z'
'-x+1/2,-y+1/2,-z'
'-x+1/2,y+1/2,-z'
'x+1/2,-y+1/2,z'
loop_
_atom_site_label
_atom_site_type_symbol
_atom_site_fract_x
_atom_site_fract_y
_atom_site_fract_z
Dy1 Dy 0.0000 0.0000 0.0000
Tm1 Tm 0.0000 0.0000 0.5000
Tm2 Tm 0.1567 0.5000 0.3380
Tm3 Tm 0.1647 0.5000 0.8359
Pb1 Pb 0.0000 0.5000 0.0000
Pb2 Pb 0.1681 0.0000 0.3411
Pb3 Pb 0.1695 0.0000 0.8224
```

Top 10 peaks for 2θ from 5° to 70°, sorted by position:
| Position (°2θ) | I (rel.) | hkl |
| --- | --- | --- |
| 28.73 | 100 | 0 2 0 |
| 30.04 | 89 | 2 0 2 |
| 30.32 | 85 | 4 0 -2 |
| 35.50 | 56 | 6 0 0 |
| 42.05 | 72 | 2 2 2 |
| 42.26 | 70 | 4 2 -2 |
| 46.29 | 54 | 6 2 0 |
| 49.94 | 21 | 2 0 -4 |
| 58.64 | 27 | 2 2 -4 |
| 68.09 | 35 | 2 4 2 |

=====

No. 3
Starting from DFT lattice parameters and positions (PBE), the XRD peak list of Dy6Tm8Pb was simulated for λ = 1.5418 Å (Cu Kα).
Peak positions follow from Bragg's law for the DFT cell and can differ from measured ones.

```
data_Dy6Tm8Pb
_cell_length_a 9.1308
_cell_length_b 9.1308
_cell_length_c 6.6574
_cell_angle_alpha 90.00
_cell_angle_beta 90.00
_cell_angle_gamma 120.00
_space_group_name_H-M_alt 'P -3'
_space_group_IT_number 147
loop_
_space_group_symop_operation_xyz
'x,y,z'
'-x,-y,-z'
'-y,x-y,z'
'y,-x+y,-z'
'-x+y,-x,z'
'x-y,x,-z'
loop_
_atom_site_label
_atom_site_type_symbol
_atom_site_fract_x
_atom_site_fract_y
_atom_site_fract_z
Dy1 Dy 0.0815 0.6841 0.0994
Tm1 Tm 0.0214 0.3380 0.3969
Tm2 Tm 0.3333 0.6667 0.6920
Pb1 Pb 0.0000 0.0000 0.0000
```

Top 10 peaks for 2θ from 5° to 70°, sorted by position:
| Position (°2θ) | I (rel.) | hkl |
| --- | --- | --- |
| 26.21 | 35 | 0 2 1 |
| 29.11 | 15 | 0 1 2 |
| 32.85 | 64 | 2 1 1 |
| 33.31 | 100 | 2 -1 2 |
| 34.01 | 79 | 3 0 0 |
| 48.35 | 15 | 2 2 2 |
| 52.27 | 21 | 5 -2 1 |
| 59.08 | 14 | 1 1 4 |
| 60.42 | 13 | 5 -1 2 |
| 67.43 | 12 | 5 1 1 |

=====

No. 4
Starting from DFT lattice parameters and positions (PBE), the XRD peak list of Dy3TmPb4 was simulated for λ = 1.5418 Å (Cu Kα).
Peak positions follow from Bragg's law for the DFT cell and can differ from measured ones.

```
data_Dy3TmPb4
_cell_length_a 11.1166
_cell_length_b 6.3928
_cell_length_c 6.3947
_cell_angle_alpha 90.00
_cell_angle_beta 90.00
_cell_angle_gamma 90.00
_space_group_name_H-M_alt 'P m n a'
_space_group_IT_number 53
loop_
_space_group_symop_operation_xyz
'x,y,z'
'-x,-y,-z'
'-x+1/2,-y,z+1/2'
'x+1/2,y,-z+1/2'
'x,-y,-z'
'-x,y,z'
'-x+1/2,y,-z+1/2'
'x+1/2,-y,z+1/2'
loop_
_atom_site_label
_atom_site_type_symbol
_atom_site_fract_x
_atom_site_fract_y
_atom_site_fract_z
Dy1 Dy 0.0000 0.0000 0.0000
Dy2 Dy 0.2500 0.2513 0.2500
Tm1 Tm 0.0000 0.5000 0.5000
Pb1 Pb 0.0000 0.0000 0.5000
Pb2 Pb 0.0000 0.5000 0.0000
Pb3 Pb 0.2500 0.2491 0.7500
```

Top 9 peaks for 2θ from 5° to 70°, sorted by position:
| Position (°2θ) | I (rel.) | hkl |
| --- | --- | --- |
| 21.21 | 1 | 1 1 1 |
| 25.39 | 1 | 2 1 1 |
| 32.29 | 100 | 4 0 0 |
| 39.88 | 23 | 0 2 2 |
| 52.16 | 21 | 4 2 2 |
| 57.49 | 16 | 6 2 0 |
| 57.67 | 8 | 0 4 0 |
| 67.39 | 2 | 8 0 0 |
| 67.65 | 29 | 4 4 0 |

=====

No. 5
Starting from DFT lattice parameters and positions (PBE), the XRD peak list of DyTm3Pb2 was simulated for λ = 1.5418 Å (Cu Kα).
Peak positions follow from Bragg's law for the DFT cell and can differ from measured ones.

```
data_DyTm3Pb2
_cell_length_a 4.8744
_cell_length_b 15.8058
_cell_length_c 4.3819
_cell_angle_alpha 90.00
_cell_angle_beta 90.00
_cell_angle_gamma 90.00
_space_group_name_H-M_alt 'C m m m'
_space_group_IT_number 65
_space_group_name_Hall '-C 2 2'
loop_
_atom_site_label
_atom_site_type_symbol
_atom_site_fract_x
_atom_site_fract_y
_atom_site_fract_z
Dy1 Dy 0.0000 0.0000 0.0000
Tm1 Tm 0.0000 0.1740 0.5000
Tm2 Tm 0.0000 0.5000 0.5000
Pb1 Pb 0.0000 0.3486 0.0000
```

Top 10 peaks for 2θ from 5° to 70°, sorted by position:
| Position (°2θ) | I (rel.) | hkl |
| --- | --- | --- |
| 32.30 | 100 | 1 3 1 |
| 34.03 | 19 | 0 6 0 |
| 36.88 | 18 | 2 0 0 |
| 41.20 | 13 | 0 0 2 |
| 51.05 | 13 | 2 6 0 |
| 56.48 | 11 | 2 0 2 |
| 59.82 | 13 | 1 9 1 |
| 63.58 | 15 | 3 3 1 |
| 67.61 | 11 | 2 6 2 |
| 69.51 | 11 | 1 3 3 |

=====

No. 6
Starting from DFT lattice parameters and positions (PBE), the XRD peak list of Dy3TmPb2 was simulated for λ = 1.5418 Å (Cu Kα).
Peak positions follow from Bragg's law for the DFT cell and can differ from measured ones.

```
data_Dy3TmPb2
_cell_length_a 4.5501
_cell_length_b 4.5501
_cell_length_c 8.5399
_cell_angle_alpha 90.00
_cell_angle_beta 90.00
_cell_angle_gamma 90.00
_space_group_name_H-M_alt 'P -4 m 2'
_space_group_IT_number 115
loop_
_space_group_symop_operation_xyz
'x,y,z'
'y,-x,-z'
'-x,-y,z'
'-y,x,-z'
'-x,y,z'
'-y,-x,-z'
'x,-y,z'
'y,x,-z'
loop_
_atom_site_label
_atom_site_type_symbol
_atom_site_fract_x
_atom_site_fract_y
_atom_site_fract_z
Dy1 Dy 0.0000 0.0000 0.0000
Dy2 Dy 0.0000 0.5000 0.6590
Tm1 Tm 0.5000 0.5000 0.0000
Pb1 Pb 0.0000 0.5000 0.2842
```

Top 10 peaks for 2θ from 5° to 70°, sorted by position:
| Position (°2θ) | I (rel.) | hkl |
| --- | --- | --- |
| 27.73 | 21 | 1 1 0 |
| 29.67 | 76 | 1 1 1 |
| 31.43 | 38 | 0 0 3 |
| 34.92 | 100 | 1 1 2 |
| 39.61 | 57 | 2 0 0 |
| 51.41 | 42 | 2 0 3 |
| 57.27 | 20 | 2 2 0 |
| 61.46 | 17 | 1 1 5 |
| 66.80 | 18 | 2 2 3 |
| 68.86 | 28 | 3 1 2 |

=====

No. 7
Starting from DFT lattice parameters and positions (PBE), the XRD peak list of DyY2Pb9 was simulated for λ = 1.5418 Å (Cu Kα).
Peak positions follow from Bragg's law for the DFT cell and can differ from measured ones.

```
data_DyY2Pb9
_cell_length_a 4.8829
_cell_length_b 4.8829
_cell_length_c 14.6549
_cell_angle_alpha 90.00
_cell_angle_beta 90.00
_cell_angle_gamma 90.00
_space_group_name_H-M_alt 'P 4/m m m'
_space_group_IT_number 123
_space_group_name_Hall '-P 4 2'
loop_
_atom_site_label
_atom_site_type_symbol
_atom_site_fract_x
_atom_site_fract_y
_atom_site_fract_z
Dy1 Dy 0.0000 0.0000 0.0000
Y1 Y 0.0000 0.0000 0.3327
Pb1 Pb 0.0000 0.5000 0.1661
Pb2 Pb 0.0000 0.5000 0.5000
Pb3 Pb 0.5000 0.5000 0.0000
Pb4 Pb 0.5000 0.5000 0.3330
```

Top 10 peaks for 2θ from 5° to 70°, sorted by position:
| Position (°2θ) | I (rel.) | hkl |
| --- | --- | --- |
| 18.17 | 4 | 1 0 0 |
| 25.80 | 4 | 1 1 0 |
| 31.74 | 100 | 1 1 3 |
| 36.81 | 51 | 2 0 0 |
| 41.34 | 2 | 2 1 0 |
| 45.50 | 2 | 2 1 3 |
| 53.04 | 36 | 2 2 0 |
| 56.53 | 1 | 3 0 0 |
| 63.14 | 43 | 3 1 3 |
| 66.30 | 12 | 2 2 6 |

=====

No. 8
Starting from DFT lattice parameters and positions (PBE), the XRD peak list of Dy5YPb5 was simulated for λ = 1.5418 Å (Cu Kα).
Peak positions follow from Bragg's law for the DFT cell and can differ from measured ones.

```
data_Dy5YPb5
_cell_length_a 15.7502
_cell_length_b 6.2646
_cell_length_c 7.3755
_cell_angle_alpha 90.00
_cell_angle_beta 103.21
_cell_angle_gamma 90.00
_space_group_name_H-M_alt 'C 1 2/m 1'
_space_group_IT_number 12
loop_
_space_group_symop_operation_xyz
'x,y,z'
'-x,-y,-z'
'-x,y,-z'
'x,-y,z'
'x+1/2,y+1/2,z'
'-x+1/2,-y+1/2,-z'
'-x+1/2,y+1/2,-z'
'x+1/2,-y+1/2,z'
loop_
_atom_site_label
_atom_site_type_symbol
_atom_site_fract_x
_atom_site_fract_y
_atom_site_fract_z
Dy1 Dy 0.0000 0.0000 0.0000
Dy2 Dy 0.1600 0.5000 0.8348
Dy3 Dy 0.1645 0.5000 0.3338
Y1 Y 0.0000 0.0000 0.5000
Pb1 Pb 0.0000 0.5000 0.5000
Pb2 Pb 0.1672 0.0000 0.8398
Pb3 Pb 0.1683 0.0000 0.3265
```

Top 10 peaks for 2θ from 5° to 70°, sorted by position:
| Position (°2θ) | I (rel.) | hkl |
| --- | --- | --- |
| 28.50 | 100 | 0 2 0 |
| 29.79 | 89 | 2 0 2 |
| 29.96 | 87 | 4 0 -2 |
| 35.12 | 57 | 6 0 0 |
| 41.70 | 73 | 2 2 2 |
| 41.82 | 71 | 4 2 -2 |
| 45.83 | 55 | 6 2 0 |
| 49.43 | 22 | 2 0 -4 |
| 58.05 | 28 | 2 2 -4 |
| 67.44 | 35 | 2 4 2 |

=====

No. 9
Starting from DFT lattice parameters and positions (PBE), the XRD peak list of Dy4Pd was simulated for λ = 1.5418 Å (Cu Kα).
Peak positions follow from Bragg's law for the DFT cell and can differ from measured ones.

```
data_Dy4Pd
_cell_length_a 12.6200
_cell_length_b 12.6704
_cell_length_c 7.3167
_cell_angle_alpha 90.00
_cell_angle_beta 90.00
_cell_angle_gamma 90.00
_space_group_name_H-M_alt 'F d d 2'
_space_group_IT_number 43
_space_group_name_Hall 'F 2 -2d'
loop_
_atom_site_label
_atom_site_type_symbol
_atom_site_fract_x
_atom_site_fract_y
_atom_site_fract_z
Dy1 Dy 0.0783 0.3730 0.0000
Dy2 Dy 0.1223 0.3278 0.4577
Pd1 Pd 0.0000 0.0000 0.8543
```

Top 10 peaks for 2θ from 5° to 70°, sorted by position:
| Position (°2θ) | I (rel.) | hkl |
| --- | --- | --- |
| 28.18 | 24 | 0 4 0 |
| 28.29 | 10 | 4 0 0 |
| 31.61 | 100 | 2 2 2 |
| 32.44 | 30 | 3 3 1 |
| 38.25 | 26 | 1 5 1 |
| 38.39 | 12 | 5 1 1 |
| 40.33 | 24 | 4 4 0 |
| 52.59 | 10 | 1 7 1 |
| 58.29 | 17 | 4 0 4 |
| 68.25 | 13 | 3 7 3 |

=====

No. 10
Starting from DFT lattice parameters and positions (PBE), the XRD peak list of Dy2Pd13 was simulated for λ = 1.5418 Å (Cu Kα).
Peak positions follow from Bragg's law for the DFT cell and can differ from measured ones.

```
data_Dy2Pd13
_cell_length_a 7.3580
_cell_length_b 7.3580
_cell_length_c 20.0930
_cell_angle_alpha 90.00
_cell_angle_beta 90.00
_cell_angle_gamma 120.00
_space_group_name_H-M_alt 'R -3 m'
_space_group_IT_number 166
_space_group_name_Hall '-R 3 2"'
loop_
_atom_site_label
_atom_site_type_symbol
_atom_site_fract_x
_atom_site_fract_y
_atom_site_fract_z
Dy1 Dy 0.0000 0.0000 0.2417
Pd1 Pd 0.0000 0.0000 0.0000
Pd2 Pd 0.0844 0.5422 0.5599
Pd3 Pd 0.0861 0.5430 0.3033
```

Top 10 peaks for 2θ from 5° to 70°, sorted by position:
| Position (°2θ) | I (rel.) | hkl |
| --- | --- | --- |
| 13.22 | 29 | 0 0 3 |
| 14.58 | 51 | 1 0 1 |
| 28.36 | 32 | 0 2 1 |
| 33.30 | 21 | 0 2 4 |
| 37.61 | 32 | 2 1 1 |
| 38.52 | 58 | 0 1 8 |
| 41.58 | 100 | 2 1 4 |
| 42.38 | 23 | 0 2 7 |
| 43.82 | 34 | 1 2 5 |
| 44.76 | 42 | 0 3 3 |

=====

No. 11
Starting from DFT lattice parameters and positions (PBE), the XRD peak list of PmDy2Pd3 was simulated for λ = 1.5418 Å (Cu Kα).
Peak positions follow from Bragg's law for the DFT cell and can differ from measured ones.

```
data_PmDy2Pd3
_cell_length_a 3.5314
_cell_length_b 3.5314
_cell_length_c 10.6517
_cell_angle_alpha 90.00
_cell_angle_beta 90.00
_cell_angle_gamma 90.00
_space_group_name_H-M_alt 'P 4/m m m'
_space_group_IT_number 123
_space_group_name_Hall '-P 4 2'
loop_
_atom_site_label
_atom_site_type_symbol
_atom_site_fract_x
_atom_site_fract_y
_atom_site_fract_z
Pm1 Pm 0.0000 0.0000 0.0000
Dy1 Dy 0.0000 0.0000 0.3366
Pd1 Pd 0.5000 0.5000 0.1784
Pd2 Pd 0.5000 0.5000 0.5000
```

Top 10 peaks for 2θ from 5° to 70°, sorted by position:
| Position (°2θ) | I (rel.) | hkl |
| --- | --- | --- |
| 25.08 | 2 | 0 0 3 |
| 25.22 | 4 | 1 0 0 |
| 35.86 | 100 | 1 0 3 |
| 35.97 | 50 | 1 1 0 |
| 44.35 | 2 | 1 1 3 |
| 51.48 | 8 | 0 0 6 |
| 51.77 | 18 | 2 0 0 |
| 58.40 | 2 | 2 0 3 |
| 64.39 | 17 | 1 1 6 |
| 64.59 | 36 | 2 1 3 |

=====

No. 12
Starting from DFT lattice parameters and positions (PBE), the XRD peak list of Pm3Dy3Pd4 was simulated for λ = 1.5418 Å (Cu Kα).
Peak positions follow from Bragg's law for the DFT cell and can differ from measured ones.

```
data_Pm3Dy3Pd4
_cell_length_a 3.9979
_cell_length_b 11.2641
_cell_length_c 11.0798
_cell_angle_alpha 90.00
_cell_angle_beta 90.00
_cell_angle_gamma 90.00
_space_group_name_H-M_alt 'A m m 2'
_space_group_IT_number 38
loop_
_space_group_symop_operation_xyz
'x,y,z'
'-x,-y,z'
'-x,y,z'
'x,-y,z'
'x,y+1/2,z+1/2'
'-x,-y+1/2,z+1/2'
'-x,y+1/2,z+1/2'
'x,-y+1/2,z+1/2'
loop_
_atom_site_label
_atom_site_type_symbol
_atom_site_fract_x
_atom_site_fract_y
_atom_site_fract_z
Pm1 Pm 0.0000 0.0000 0.0000
Pm2 Pm 0.0000 0.1674 0.6649
Dy1 Dy 0.0000 0.0000 0.3345
Dy2 Dy 0.5000 0.2491 0.4152
Pd1 Pd 0.5000 0.0000 0.5305
Pd2 Pd 0.5000 0.0000 0.7953
Pd3 Pd 0.5000 0.1284 0.1715
```

Top 10 peaks for 2θ from 5° to 70°, sorted by position:
| Position (°2θ) | I (rel.) | hkl |
| --- | --- | --- |
| 31.84 | 82 | 1 2 2 |
| 33.73 | 97 | 1 3 1 |
| 33.99 | 100 | 1 1 3 |
| 35.77 | 53 | 0 4 2 |
| 36.14 | 50 | 0 2 4 |
| 45.37 | 34 | 2 0 0 |
| 59.08 | 25 | 2 4 2 |
| 59.33 | 24 | 2 2 4 |
| 67.70 | 14 | 1 7 3 |
| 68.49 | 16 | 1 3 7 |

=====

No. 13
Starting from DFT lattice parameters and positions (PBE), the XRD peak list of Pm2DySn3Pd6 was simulated for λ = 1.5418 Å (Cu Kα).
Peak positions follow from Bragg's law for the DFT cell and can differ from measured ones.

```
data_Pm2DySn3Pd6
_cell_length_a 4.0532
_cell_length_b 4.0532
_cell_length_c 17.9565
_cell_angle_alpha 90.00
_cell_angle_beta 90.00
_cell_angle_gamma 90.00
_space_group_name_H-M_alt 'P 4/m m m'
_space_group_IT_number 123
_space_group_name_Hall '-P 4 2'
loop_
_atom_site_label
_atom_site_type_symbol
_atom_site_fract_x
_atom_site_fract_y
_atom_site_fract_z
Pm1 Pm 0.0000 0.0000 0.1898
Dy1 Dy 0.0000 0.0000 0.5000
Sn1 Sn 0.5000 0.5000 0.0000
Sn2 Sn 0.5000 0.5000 0.2912
Pd1 Pd 0.0000 0.5000 0.3867
Pd2 Pd 0.5000 0.5000 0.1418
```

Top 10 peaks for 2θ from 5° to 70°, sorted by position:
| Position (°2θ) | I (rel.) | hkl |
| --- | --- | --- |
| 22.49 | 34 | 1 0 1 |
| 26.56 | 100 | 1 0 3 |
| 31.21 | 44 | 1 1 0 |
| 31.61 | 53 | 1 1 1 |
| 34.70 | 57 | 1 1 3 |
| 37.22 | 62 | 1 1 4 |
| 41.67 | 84 | 1 0 7 |
| 43.73 | 58 | 1 1 6 |
| 44.72 | 97 | 2 0 0 |
| 62.77 | 51 | 2 1 7 |